(1)
Structure and simulated powder X-ray diffraction pattern of Ag3Pd5 (a crystal structure in Alexandria, relaxed with GGA-PBE; a wavelength of 1.5418 Å).
Neutral-atom scattering factors, no anomalous dispersion.

Atomic structure:
Lattice parameters (Å, degrees): 6.9693 6.3053 4.9665 75.34 61.08 43.58
Atoms (fractional coordinates):
Ag  0.0000  0.0000  0.0000
Ag  0.2516  0.2516  0.7484
Ag  0.7484  0.7484  0.2516
Pd  0.1237  0.1237  0.3763
Pd  0.3763  0.3763  0.1237
Pd  0.5000  0.5000  0.5000
Pd  0.6237  0.6237  0.8763
Pd  0.8763  0.8763  0.6237

The 8 most intense peaks (2θ = 10–90°), low angle first:
2θ (°)  d [Å]  Rel. int.
38.80  2.321  100.0
44.28  2.046  17.0
45.52  1.993  31.3
65.38  1.427  20.5
77.80  1.228  12.3
79.54  1.205  11.6
79.64  1.204  11.6
83.19  1.161  5.2


(2)
Structure and simulated powder X-ray diffraction pattern of Pm2Ag3Pd (a crystal structure in Alexandria, relaxed with GGA-PBE; a wavelength of 1.5418 Å).
Neutral-atom scattering factors, no anomalous dispersion.

Atomic structure:
Lattice parameters (Å, degrees): 9.5435 9.0453 5.8693 76.28 67.03 36.69
Atoms (fractional coordinates):
Pm  0.2477  0.7523  0.7523
Pm  0.2500  0.2500  0.2500
Pm  0.7500  0.7500  0.7500
Pm  0.7523  0.2477  0.2477
Ag  0.1656  0.6688  0.3312
Ag  0.3312  0.8344  0.1656
Ag  0.3333  0.3333  0.6667
Ag  0.6667  0.6667  0.3333
Ag  0.6688  0.1656  0.8344
Ag  0.8344  0.3312  0.6688
Pd  0.1691  0.1691  0.8309
Pd  0.8309  0.8309  0.1691

The 8 most intense peaks (2θ = 10–90°), low angle first:
2θ (°)  d [Å]  Rel. int.
33.18  2.700  48.8
33.48  2.676  100.0
37.71  2.385  72.6
38.51  2.337  34.2
50.88  1.794  15.8
51.50  1.774  14.5
51.73  1.767  27.2
65.58  1.424  41.9


(3)
Structure and simulated powder X-ray diffraction pattern of Pm12Ag6Pd (a crystal structure in Alexandria, relaxed with GGA-PBE; a wavelength of 1.5418 Å).
Neutral-atom scattering factors, no anomalous dispersion.

Atomic structure:
Lattice parameters (Å, degrees): 8.0794 8.0794 8.0794 89.34 89.34 89.34
Atoms (fractional coordinates):
Pm  0.0411  0.3047  0.9499
Pm  0.0501  0.9589  0.6953
Pm  0.1486  0.3642  0.4934
Pm  0.3047  0.9499  0.0411
Pm  0.3642  0.4934  0.1486
Pm  0.4934  0.1486  0.3642
Pm  0.5066  0.8514  0.6358
Pm  0.6358  0.5066  0.8514
Pm  0.6953  0.0501  0.9589
Pm  0.8514  0.6358  0.5066
Pm  0.9499  0.0411  0.3047
Pm  0.9589  0.6953  0.0501
Ag  0.2253  0.7604  0.3900
Ag  0.2396  0.6100  0.7747
Ag  0.3900  0.2253  0.7604
Ag  0.6100  0.7747  0.2396
Ag  0.7604  0.3900  0.2253
Ag  0.7747  0.2396  0.6100
Pd  0.5000  0.5000  0.5000

The 8 most intense peaks (2θ = 10–90°), low angle first:
2θ (°)  d [Å]  Rel. int.
26.77  3.330  19.5
32.93  2.720  33.9
33.27  2.693  33.8
33.44  2.679  100.0
35.01  2.563  63.2
35.25  2.546  50.4
36.94  2.433  26.3
62.12  1.494  21.2


(4)
Structure and simulated powder X-ray diffraction pattern of Pm3Ag2Pd4 (a crystal structure in Alexandria, relaxed with GGA-PBE; a wavelength of 1.5418 Å).
Neutral-atom scattering factors, no anomalous dispersion.

Atomic structure:
Lattice parameters (Å, degrees): 5.4279 5.4279 8.7555 96.79 96.79 50.82
Atoms (fractional coordinates):
Pm  0.0000  0.0000  0.0000
Pm  0.3812  0.3812  0.6220
Pm  0.6188  0.6188  0.3780
Ag  0.2971  0.2971  0.2381
Ag  0.7029  0.7029  0.7619
Pd  0.0836  0.0836  0.6356
Pd  0.2920  0.2920  0.9195
Pd  0.7080  0.7080  0.0805
Pd  0.9164  0.9164  0.3644

The 8 most intense peaks (2θ = 10–90°), low angle first:
2θ (°)  d [Å]  Rel. int.
30.91  2.893  34.2
33.69  2.660  99.8
33.92  2.643  45.0
36.37  2.470  57.9
36.70  2.448  38.2
37.72  2.385  64.4
38.66  2.329  95.7
38.78  2.322  100.0


(5)
Structure and simulated powder X-ray diffraction pattern of PmAg2Pd2 (a crystal structure in Alexandria, relaxed with GGA-PBE; a wavelength of 1.5418 Å).
Neutral-atom scattering factors, no anomalous dispersion.

Atomic structure:
Lattice parameters (Å, degrees): 9.4115 4.5670 5.4175 90.00 119.54 90.00
Atoms (fractional coordinates):
Pm  0.0000  0.0000  0.0000
Pm  0.5000  0.5000  0.0000
Ag  0.1290  0.5000  0.7642
Ag  0.3710  0.0000  0.2358
Ag  0.6290  0.0000  0.7642
Ag  0.8710  0.5000  0.2358
Pd  0.2325  0.5000  0.3424
Pd  0.2675  0.0000  0.6576
Pd  0.7325  0.0000  0.3424
Pd  0.7675  0.5000  0.6576

The 8 most intense peaks (2θ = 10–90°), low angle first:
2θ (°)  d [Å]  Rel. int.
34.81  2.577  60.1
35.43  2.534  29.3
38.42  2.343  35.4
39.46  2.283  100.0
41.82  2.160  13.1
54.06  1.696  16.9
68.57  1.369  12.4
71.57  1.318  13.2


(6)
Structure and simulated powder X-ray diffraction pattern of Pm3Ag4Pd2 (a crystal structure in Alexandria, relaxed with GGA-PBE; a wavelength of 1.5418 Å).
Neutral-atom scattering factors, no anomalous dispersion.

Atomic structure:
Lattice parameters (Å, degrees): 5.3235 5.3373 8.6516 87.10 72.16 60.11
Atoms (fractional coordinates):
Pm  0.0000  0.0000  0.0000
Pm  0.2779  0.0897  0.3541
Pm  0.7221  0.9103  0.6459
Ag  0.3415  0.3286  0.9882
Ag  0.3735  0.5806  0.6724
Ag  0.6265  0.4194  0.3276
Ag  0.6585  0.6714  0.0118
Pd  0.0148  0.2660  0.7070
Pd  0.9852  0.7340  0.2930

The 8 most intense peaks (2θ = 10–90°), low angle first:
2θ (°)  d [Å]  Rel. int.
32.88  2.724  76.0
33.66  2.662  100.0
34.83  2.576  36.3
36.02  2.493  85.5
39.31  2.292  35.5
39.35  2.290  35.5
47.77  1.904  53.4
61.75  1.502  17.2


(7)
Structure and simulated powder X-ray diffraction pattern of Pm3Ag2Pd4 (a crystal structure in Alexandria, relaxed with GGA-PBE; a wavelength of 1.5418 Å).
Neutral-atom scattering factors, no anomalous dispersion.

Atomic structure:
Lattice parameters (Å, degrees): 7.5768 7.5768 7.3907 100.98 100.98 85.28
Atoms (fractional coordinates):
Pm  0.0946  0.9054  0.7500
Pm  0.2388  0.4744  0.3795
Pm  0.4744  0.2388  0.8795
Pm  0.5256  0.7612  0.1205
Pm  0.7612  0.5256  0.6205
Pm  0.9054  0.0946  0.2500
Ag  0.0158  0.6873  0.0602
Ag  0.3127  0.9842  0.4398
Ag  0.6873  0.0158  0.5602
Ag  0.9842  0.3127  0.9398
Pd  0.0907  0.2547  0.6025
Pd  0.2482  0.5493  0.8203
Pd  0.2547  0.0907  0.1025
Pd  0.4507  0.7518  0.6797
Pd  0.5493  0.2482  0.3203
Pd  0.7453  0.9093  0.8975
Pd  0.7518  0.4507  0.1797
Pd  0.9093  0.7453  0.3975

The 8 most intense peaks (2θ = 10–90°), low angle first:
2θ (°)  d [Å]  Rel. int.
31.66  2.826  100.0
33.28  2.692  55.1
33.52  2.673  94.3
34.96  2.566  96.5
36.21  2.481  68.2
38.84  2.319  63.4
40.44  2.230  59.7
40.65  2.219  63.6


(8)
Structure and simulated powder X-ray diffraction pattern of Pm2Ag3Pd (a crystal structure in Alexandria, relaxed with GGA-PBE; a wavelength of 1.5418 Å).
Neutral-atom scattering factors, no anomalous dispersion.

Atomic structure:
Lattice parameters (Å, degrees): 3.6030 4.8063 8.0574 90.00 90.00 90.00
Atoms (fractional coordinates):
Pm  0.0000  0.0000  0.0000
Pm  0.0000  0.5000  0.4600
Ag  0.5000  0.0000  0.6448
Ag  0.5000  0.5000  0.1421
Ag  0.5000  0.5000  0.8045
Pd  0.5000  0.0000  0.3061

The 8 most intense peaks (2θ = 10–90°), low angle first:
2θ (°)  d [Å]  Rel. int.
33.00  2.714  100.0
33.36  2.686  51.8
37.42  2.403  37.5
38.39  2.345  67.0
50.67  1.802  15.4
51.00  1.791  30.7
64.69  1.441  28.3
65.32  1.429  26.4


(9)
Structure and simulated powder X-ray diffraction pattern of Pm4Ag5Pd3 (a crystal structure in Alexandria, relaxed with GGA-PBE; a wavelength of 1.5418 Å).
Neutral-atom scattering factors, no anomalous dispersion.

Atomic structure:
Lattice parameters (Å, degrees): 6.2152 6.2152 9.5861 102.82 102.82 51.61
Atoms (fractional coordinates):
Pm  0.0085  0.0085  0.2107
Pm  0.2657  0.2657  0.6167
Pm  0.7343  0.7343  0.3833
Pm  0.9915  0.9915  0.7893
Ag  0.2727  0.2727  0.9482
Ag  0.2982  0.2982  0.2522
Ag  0.5000  0.5000  0.5000
Ag  0.7018  0.7018  0.7478
Ag  0.7273  0.7273  0.0518
Pd  0.0000  0.0000  0.5000
Pd  0.4895  0.4895  0.8558
Pd  0.5105  0.5105  0.1442

The 8 most intense peaks (2θ = 10–90°), low angle first:
2θ (°)  d [Å]  Rel. int.
29.48  3.030  17.5
31.98  2.799  13.8
32.56  2.750  26.2
33.08  2.708  100.0
36.11  2.488  16.0
36.80  2.443  26.5
47.47  1.915  30.1
50.33  1.813  21.2


(10)
Structure and simulated powder X-ray diffraction pattern of Pm3Si6AgPd2 (a crystal structure in Alexandria, relaxed with GGA-PBE; a wavelength of 1.5418 Å).
Neutral-atom scattering factors, no anomalous dispersion.

Atomic structure:
Lattice parameters (Å, degrees): 5.8523 5.8523 8.1713 90.00 90.00 120.00
Atoms (fractional coordinates):
Pm  0.0000  0.0000  0.0000
Pm  0.3333  0.6667  0.6140
Pm  0.6667  0.3333  0.3860
Si  0.1955  0.3909  0.2747
Si  0.1955  0.8045  0.2747
Si  0.3909  0.1955  0.7253
Si  0.6091  0.8045  0.2747
Si  0.8045  0.1955  0.7253
Si  0.8045  0.6091  0.7253
Ag  0.0000  0.0000  0.5000
Pd  0.3333  0.6667  0.0206
Pd  0.6667  0.3333  0.9794

The 8 most intense peaks (2θ = 10–90°), low angle first:
2θ (°)  d [Å]  Rel. int.
28.05  3.181  45.4
30.55  2.926  100.0
37.82  2.379  63.4
41.95  2.154  24.9
45.50  1.994  17.9
54.30  1.689  18.0
59.18  1.561  18.6
63.60  1.463  17.4


(11)
Structure and simulated powder X-ray diffraction pattern of PrAgPd2 (a crystal structure in Alexandria, relaxed with GGA-PBE; a wavelength of 1.5418 Å).
Neutral-atom scattering factors, no anomalous dispersion.

Atomic structure:
Lattice parameters (Å, degrees): 4.7807 6.2380 5.4501 90.00 90.00 90.00
Atoms (fractional coordinates):
Pr  0.2500  0.2500  0.1656
Pr  0.7500  0.7500  0.8344
Ag  0.2500  0.7500  0.2377
Ag  0.7500  0.2500  0.7623
Pd  0.2500  0.0158  0.6633
Pd  0.2500  0.4842  0.6633
Pd  0.7500  0.5158  0.3367
Pd  0.7500  0.9842  0.3367

The 8 most intense peaks (2θ = 10–90°), low angle first:
2θ (°)  d [Å]  Rel. int.
32.87  2.725  17.3
33.09  2.707  15.5
37.63  2.390  33.4
38.01  2.367  32.5
38.21  2.356  100.0
50.79  1.798  12.2
68.30  1.373  17.4
71.96  1.312  12.6


(12)
Structure and simulated powder X-ray diffraction pattern of Pr3AgPd (a crystal structure in Alexandria, relaxed with GGA-PBE; a wavelength of 1.5418 Å).
Neutral-atom scattering factors, no anomalous dispersion.

Atomic structure:
Lattice parameters (Å, degrees): 9.3656 7.7816 8.5122 90.00 107.60 90.00
Atoms (fractional coordinates):
Pr  0.0713  0.0047  0.2151
Pr  0.0713  0.4953  0.7151
Pr  0.3058  0.1540  0.6175
Pr  0.3058  0.3460  0.1175
Pr  0.3563  0.6752  0.4902
Pr  0.3563  0.8248  0.9902
Pr  0.6437  0.1752  0.0098
Pr  0.6437  0.3248  0.5098
Pr  0.6942  0.6540  0.8825
Pr  0.6942  0.8460  0.3825
Pr  0.9287  0.5047  0.2849
Pr  0.9287  0.9953  0.7849
Ag  0.0656  0.6695  0.0375
Ag  0.0656  0.8305  0.5375
Ag  0.9344  0.1695  0.4625
Ag  0.9344  0.3305  0.9625
Pd  0.4141  0.0376  0.3239
Pd  0.4141  0.4624  0.8239
Pd  0.5859  0.5376  0.1761
Pd  0.5859  0.9624  0.6761

The 8 most intense peaks (2θ = 10–90°), low angle first:
2θ (°)  d [Å]  Rel. int.
27.35  3.260  27.5
29.15  3.064  26.5
30.03  2.976  31.1
30.92  2.892  30.2
31.87  2.808  53.6
33.60  2.667  100.0
34.52  2.598  55.6
36.84  2.440  57.7


(13)
Structure and simulated powder X-ray diffraction pattern of Pr2Si3AgPd12 (a crystal structure in Alexandria, relaxed with GGA-PBE; a wavelength of 1.5418 Å).
Neutral-atom scattering factors, no anomalous dispersion.

Atomic structure:
Lattice parameters (Å, degrees): 6.9072 6.9072 6.9072 83.61 83.61 83.61
Atoms (fractional coordinates):
Pr  0.1309  0.1309  0.1309
Pr  0.8691  0.8691  0.8691
Si  0.0000  0.5000  0.5000
Si  0.5000  0.0000  0.5000
Si  0.5000  0.5000  0.0000
Ag  0.5000  0.5000  0.5000
Pd  0.1352  0.1352  0.5833
Pd  0.1352  0.5833  0.1352
Pd  0.1735  0.6773  0.6773
Pd  0.3227  0.3227  0.8265
Pd  0.3227  0.8265  0.3227
Pd  0.4167  0.8648  0.8648
Pd  0.5833  0.1352  0.1352
Pd  0.6773  0.1735  0.6773
Pd  0.6773  0.6773  0.1735
Pd  0.8265  0.3227  0.3227
Pd  0.8648  0.4167  0.8648
Pd  0.8648  0.8648  0.4167

The 8 most intense peaks (2θ = 10–90°), low angle first:
2θ (°)  d [Å]  Rel. int.
20.14  4.410  15.5
32.65  2.743  15.3
35.26  2.546  35.9
35.76  2.511  21.4
39.13  2.302  100.0
40.94  2.205  25.1
44.39  2.041  14.7
57.91  1.592  17.2